Entry 1:
TlHC2O4: theoretical powder XRD pattern (CuKα), based on the GGA-PBE geometry in Alexandria.
Peak positions follow from Bragg's law for the DFT cell and can differ from measured ones.

Peak list (10 most intense, 10 to 90 degrees two-theta, low angle first)
Position (°2θ), Rel. int.
17.11, 56
18.90, 70
21.25, 46
24.79, 100
26.33, 84
29.45, 29
31.18, 34
31.54, 31
33.12, 40
38.65, 31

Crystal structure
a = 10.4010 Å, b = 6.7797 Å, c = 6.5340 Å
α = 90.00°, β = 94.88°, γ = 90.00°
Element x y z (fractional)
Tl  0.2086  0.0392  0.4343
Tl  0.2086  0.4608  0.9343
Tl  0.7914  0.5392  0.0657
Tl  0.7914  0.9608  0.5657
H  0.2932  0.5403  0.4384
H  0.2932  0.9597  0.9384
H  0.7068  0.0403  0.0616
H  0.7068  0.4597  0.5616
C  0.0578  0.5183  0.4325
C  0.0578  0.9817  0.9325
C  0.4854  0.5815  0.4177
C  0.4854  0.9185  0.9177
C  0.5146  0.0815  0.0823
C  0.5146  0.4185  0.5823
C  0.9422  0.0183  0.0675
C  0.9422  0.4817  0.5675
O  0.0362  0.5988  0.2598
O  0.0362  0.9012  0.7598
O  0.1686  0.0396  0.0125
O  0.1686  0.4604  0.5125
O  0.3627  0.6226  0.3691
O  0.3627  0.8774  0.8691
O  0.4273  0.1668  0.1619
O  0.4273  0.3332  0.6619
O  0.5727  0.6668  0.3381
O  0.5727  0.8332  0.8381
O  0.6373  0.1226  0.1309
O  0.6373  0.3774  0.6309
O  0.8314  0.5396  0.4875
O  0.8314  0.9604  0.9875
O  0.9638  0.0988  0.2402
O  0.9638  0.4012  0.7402



Entry 2:
Pb2Se2I: theoretical powder XRD pattern (CuKα), based on the GGA-PBE geometry in Alexandria.
Peak positions follow from Bragg's law for the DFT cell and can differ from measured ones.

Peak list (10 most intense, 10 to 90 degrees two-theta, low angle first)
Position (°2θ), Rel. int.
19.75, 25
26.09, 100
26.74, 35
29.36, 30
35.70, 37
36.19, 46
38.17, 49
46.82, 42
53.25, 24
63.77, 22

Crystal structure
a = 8.1469 Å, b = 8.1469 Å, c = 8.1469 Å
α = 146.36°, β = 146.36°, γ = 48.32°
Element x y z (fractional)
Pb  0.1278  0.1278  0.0000
Pb  0.8722  0.8722  0.0000
Se  0.2500  0.7500  0.5000
Se  0.7500  0.2500  0.5000
I  0.5000  0.5000  0.0000



Entry 3:
TiCu2Ag2: theoretical powder XRD pattern (CuKα), based on the GGA-PBE geometry in Alexandria.
Peak positions follow from Bragg's law for the DFT cell and can differ from measured ones.

Peak list (10 most intense, 10 to 90 degrees two-theta, low angle first)
Position (°2θ), Rel. int.
17.18, 16
24.39, 10
34.77, 10
39.03, 40
39.13, 31
41.12, 100
44.77, 11
51.64, 16
60.95, 15
73.44, 12

Crystal structure
a = 7.2984 Å, b = 7.2984 Å, c = 2.9666 Å
α = 90.00°, β = 90.00°, γ = 90.00°
Element x y z (fractional)
Ti  0.0000  0.0000  0.0000
Ti  0.5000  0.5000  0.0000
Cu  0.1212  0.3788  0.0000
Cu  0.3788  0.8788  0.0000
Cu  0.6212  0.1212  0.0000
Cu  0.8788  0.6212  0.0000
Ag  0.1765  0.6765  0.5000
Ag  0.3235  0.1765  0.5000
Ag  0.6765  0.8235  0.5000
Ag  0.8235  0.3235  0.5000